# 1
The following is a computed powder XRD pattern of K2PH3SeO8. It was derived from a structure optimized by DFT (PBE), using Cu Kα.

Top 10 peaks for 10 to 90 degrees two-theta, in order of rising 2θ:
19.34°, I 38
23.40°, I 62
23.55°, I 76
26.27°, I 46
27.14°, I 100
27.90°, I 31
33.28°, I 37
33.44°, I 33
38.99°, I 27
44.00°, I 26

Cell and atoms:
```
data_K2PH3SeO8
_chemical_formula_sum 'K4 P2 H6 Se2 O16'
_cell_length_a 7.3957
_cell_length_b 7.6028
_cell_length_c 9.7047
_cell_angle_alpha 90.00
_cell_angle_beta 128.87
_cell_angle_gamma 90.00
_space_group_name_H-M_alt 'P 1 c 1'
_space_group_IT_number 7
_space_group_name_Hall 'P -2yc'
loop_
_atom_site_label
_atom_site_fract_x
_atom_site_fract_y
_atom_site_fract_z
K1 0.0000 0.0486 0.0000
K2 0.2128 0.4444 0.4164
P1 0.4480 0.0384 0.9582
H1 0.4813 0.2501 0.8133
H2 0.5676 0.2365 0.1725
H3 0.7162 0.1770 0.6013
Se1 0.7503 0.4524 0.4504
O1 0.2534 0.0916 0.3772
O2 0.4199 0.1997 0.0464
O3 0.4485 0.1172 0.8068
O4 0.4915 0.4499 0.8027
O5 0.6980 0.0387 0.6062
O6 0.7550 0.3627 0.6120
O7 0.7839 0.2876 0.3518
O8 0.9666 0.4049 0.0405
```

=====

# 2
The following is a computed powder XRD pattern of LiNd2O6. It was derived from a structure optimized by DFT (PBE), using Cu Kα.

Top 10 peaks for 10 to 90 degrees two-theta, in order of rising 2θ:
12.39°, I 100
19.35°, I 75
19.60°, I 79
25.24°, I 32
25.88°, I 29
27.51°, I 22
28.14°, I 22
30.27°, I 25
37.81°, I 42
41.93°, I 20

Cell and atoms:
```
data_LiNd2O6
_chemical_formula_sum 'Li1 Nd2 O6'
_cell_length_a 4.8588
_cell_length_b 4.8691
_cell_length_c 7.7055
_cell_angle_alpha 73.70
_cell_angle_beta 71.74
_cell_angle_gamma 74.80
_space_group_name_H-M_alt 'P -1'
_space_group_IT_number 2
_space_group_name_Hall '-P 1'
loop_
_atom_site_label
_atom_site_fract_x
_atom_site_fract_y
_atom_site_fract_z
Li1 0.0000 0.0000 0.0000
Nd1 0.4080 0.3976 0.8410
O1 0.1168 0.6046 0.1118
O2 0.4011 0.4177 0.5078
O3 0.4071 0.8776 0.8845
```

=====

# 3
The following is a computed powder XRD pattern of Na6MgO4. It was derived from a structure optimized by DFT (PBE), using Cu Kα.

Top 10 peaks for 10 to 90 degrees two-theta, in order of rising 2θ:
28.81°, I 58
31.23°, I 26
32.51°, I 29
33.82°, I 35
39.61°, I 60
42.48°, I 41
47.62°, I 100
48.58°, I 59
57.20°, I 19
69.67°, I 18

Cell and atoms:
```
data_Na6MgO4
_chemical_formula_sum 'Na12 Mg2 O8'
_cell_length_a 7.4960
_cell_length_b 7.4960
_cell_length_c 5.5085
_cell_angle_alpha 90.00
_cell_angle_beta 90.00
_cell_angle_gamma 90.00
_space_group_name_H-M_alt 'P 42/n m c'
_space_group_IT_number 137
loop_
_space_group_symop_operation_xyz
'x,y,z'
'-x,-y,-z'
'-y+1/2,x,z+1/2'
'y+1/2,-x,-z+1/2'
'-x+1/2,-y+1/2,z'
'x+1/2,y+1/2,-z'
'y,-x+1/2,z+1/2'
'-y,x+1/2,-z+1/2'
'x+1/2,-y,-z'
'-x+1/2,y,z'
'-y,-x,-z+1/2'
'y,x,z+1/2'
'-x,y+1/2,-z'
'x,-y+1/2,z'
'y+1/2,x+1/2,-z+1/2'
'-y+1/2,-x+1/2,z+1/2'
loop_
_atom_site_label
_atom_site_fract_x
_atom_site_fract_y
_atom_site_fract_z
Na1 0.0373 0.5373 0.2500
Na2 0.2500 0.2500 0.1714
Mg1 0.2500 0.7500 0.7500
O1 0.0090 0.7500 0.5656
```